The following is a calculated X-ray powder pattern of Li5FeO3F2. It was derived from a GGA+U-relaxed structure, using copper Kα.
Intensities are scaled so that the largest is 100.

Peak list (10 most intense, 2θ from 10° to 90°, low angle first)
two_theta  I/Imax
15.7  100
19.9  60
24.9  92
28.9  29
40.5  45
41.8  18
42.9  38
46.8  34
63.6  19
65.4  17

Atomic structure:
a b c (Å): 5.341 5.341 6.049
angles (deg): 109.35 109.35 42.62
Fractional coordinates of all 11 atoms:
Li  0.000  0.000  0.000
Li  0.000  0.000  0.485
Li  0.369  0.369  0.218
Li  0.395  0.395  0.661
Li  0.704  0.704  0.821
Fe  0.688  0.688  0.373
O  0.190  0.190  0.292
O  0.543  0.543  0.515
O  0.851  0.851  0.664
F  0.521  0.521  0.003
F  0.848  0.848  0.143